The following is a calculated XRD peak list of CsSmO2. It was derived from a structure optimized by DFT (PBE), using Cu Kα, 1.54184 Å.

The 6 most intense peaks (10° ≤ 2θ ≤ 90°), most intense first:
d = 2.877 Å, 2θ = 31.08°, intensity 100, (1 0 2); d = 3.459 Å, 2θ = 25.76°, intensity 43, (0 0 4); d = 2.609 Å, 2θ = 34.37°, intensity 36, (1 0 3); d = 1.864 Å, 2θ = 48.87°, intensity 35, (1 0 6); d = 1.827 Å, 2θ = 49.93°, intensity 30, (1 1 0); d = 1.615 Å, 2θ = 57.02°, intensity 29, (1 1 4)

```
CsSmO2
1.0
3.653 0.000 0.000
-1.827 3.164 0.000
0.000 0.000 13.836
Cs Sm O
2 2 4
direct
0.333 0.667 0.250
0.667 0.333 0.750
0.000 0.000 0.000
0.000 0.000 0.500
0.333 0.667 0.584
0.333 0.667 0.916
0.667 0.333 0.084
0.667 0.333 0.416
```


The following is a calculated XRD peak list of CsSnO3. It was derived from a structure optimized by DFT (PBE), using Cu Kα, 1.54184 Å.

The 6 most intense peaks (10° ≤ 2θ ≤ 90°), most intense first:
d = 3.022 Å, 2θ = 29.56°, intensity 100, (1 1 0); d = 1.745 Å, 2θ = 52.44°, intensity 42, (2 1 1); d = 2.137 Å, 2θ = 42.29°, intensity 31, (2 0 0); d = 1.142 Å, 2θ = 84.89°, intensity 23, (3 2 1); d = 1.511 Å, 2θ = 61.35°, intensity 20, (2 2 0); d = 1.352 Å, 2θ = 69.55°, intensity 19, (3 1 0)

```
CsSnO3
1.0
4.274 0.000 0.000
0.000 4.274 0.000
0.000 0.000 4.274
Cs Sn O
1 1 3
direct
0.000 0.000 0.000
0.500 0.500 0.500
0.000 0.500 0.500
0.500 0.000 0.500
0.500 0.500 0.000
```


The following is a calculated XRD peak list of Cs2Sn2O3. It was derived from a structure optimized by DFT (PBE), using Cu Kα, 1.54184 Å.

The 6 most intense peaks (10° ≤ 2θ ≤ 90°), most intense first:
d = 3.264 Å, 2θ = 27.33°, intensity 100, (2 1 2); d = 3.108 Å, 2θ = 28.73°, intensity 42, (0 2 0); d = 3.569 Å, 2θ = 24.95°, intensity 39, (1 1 2); d = 3.452 Å, 2θ = 25.81°, intensity 31, (3 1 1); d = 2.892 Å, 2θ = 30.92°, intensity 27, (3 1 2); d = 3.490 Å, 2θ = 25.52°, intensity 21, (4 0 0)

```
Cs2Sn2O3
1.0
13.961 0.000 0.000
0.000 6.215 0.000
0.000 0.000 9.178
Cs Sn O
8 8 12
direct
0.097 0.250 0.164
0.132 0.750 0.466
0.368 0.250 0.966
0.403 0.750 0.664
0.597 0.250 0.336
0.632 0.750 0.034
0.868 0.250 0.534
0.903 0.750 0.836
0.135 0.250 0.717
0.197 0.750 0.916
0.303 0.250 0.416
0.365 0.750 0.217
0.635 0.250 0.783
0.697 0.750 0.584
0.803 0.250 0.084
0.865 0.750 0.283
0.161 0.250 0.494
0.228 0.503 0.768
0.228 0.997 0.768
0.272 0.003 0.268
0.272 0.497 0.268
0.339 0.750 0.994
0.661 0.250 0.006
0.728 0.503 0.732
0.728 0.997 0.732
0.772 0.003 0.232
0.772 0.497 0.232
0.839 0.750 0.506
```